Calculated powder X-ray diffraction pattern of Zr4CdO9 for a wavelength of 1.5418 Å, from a cell relaxed with PBE.
Neutral-atom scattering factors, no anomalous dispersion.

Peak list (10 most intense, 5° ≤ 2θ ≤ 70°, low angle first)
2theta, Rel. int.
26.16, 60
30.56, 100
31.31, 41
33.84, 21
34.73, 28
45.93, 29
47.67, 14
52.13, 18
52.47, 28
62.08, 14

Crystal structure
Unit cell a=17.126 b=17.126 c=6.035 alpha=90.82 beta=90.82 gamma=11.76
Fractional positions:
Zr: 0.087 0.087 0.176
Zr: 0.190 0.190 0.899
Zr: 0.292 0.292 0.617
Zr: 0.394 0.394 0.328
Zr: 0.606 0.606 0.672
Zr: 0.708 0.708 0.383
Zr: 0.810 0.810 0.101
Zr: 0.913 0.913 0.824
Cd: 0.000 0.000 0.500
Cd: 0.500 0.500 0.000
O: 0.025 0.025 0.199
O: 0.077 0.077 0.551
O: 0.128 0.128 0.901
O: 0.183 0.183 0.262
O: 0.230 0.230 0.621
O: 0.285 0.285 0.980
O: 0.332 0.332 0.339
O: 0.389 0.389 0.691
O: 0.432 0.432 0.057
O: 0.568 0.568 0.943
O: 0.611 0.611 0.309
O: 0.668 0.668 0.661
O: 0.715 0.715 0.020
O: 0.770 0.770 0.379
O: 0.817 0.817 0.738
O: 0.872 0.872 0.099
O: 0.923 0.923 0.449
O: 0.975 0.975 0.801